# 1
Simulated XRD peak list
Compound: TaH6C2SeCl5
Radiation: λ = 1.5418 Å (Cu Kα)
Structure: the GGA-PBE geometry in OQMD
Lines closer than 0.1° are merged.

Most intense lines, 2θ from 10° to 90°, in order of falling intensity:
d (Å)	I (rel.)	hkl
5.858	100.0	1 1 1
5.591	29.9	0 0 2
4.144	28.6	2 0 0
2.622	22.1	3 1 1
6.149	17.4	0 2 0
2.965	15.5	0 4 1
2.172	10.3	1 5 2
3.073	9.8	0 4 0

```
data_TaH6C2SeCl5
_chemical_formula_sum 'Ta4 H24 C8 Se4 Cl20'
_cell_length_a 8.296
_cell_length_b 12.299
_cell_length_c 11.183
_cell_angle_alpha 90.00
_cell_angle_beta 90.00
_cell_angle_gamma 90.00
_symmetry_space_group_name_H-M 'C m c 21'
_symmetry_Int_Tables_number 36
_symmetry_space_group_name_Hall 'C 2c -2'
loop_
_atom_site_label
_atom_site_type_symbol
_atom_site_fract_x
_atom_site_fract_y
_atom_site_fract_z
Ta1 Ta 0.000 0.208 0.000
H1 H 0.165 0.377 0.255
H2 H 0.167 0.477 0.731
H3 H 0.211 0.065 0.639
C1 C 0.176 0.442 0.189
Se1 Se 0.000 0.431 0.073
Cl1 Cl 0.000 0.027 0.944
Cl2 Cl 0.000 0.173 0.206
Cl3 Cl 0.000 0.282 0.806
Cl4 Cl 0.220 0.269 0.503
```

# 2
Simulated XRD peak list
Compound: Cu7Ag3
Radiation: λ = 1.5418 Å (Cu Kα)
Structure: the GGA-PBE geometry in OQMD
Lines closer than 0.1° are merged.

Most intense lines, 2θ from 10° to 90°, in order of falling intensity:
d (Å)	I (rel.)	hkl
2.221	100.0	1 0 10
1.904	58.3	0 1 20
2.133	26.0	0 0 30
1.368	19.4	1 1 0
1.151	18.9	1 1 30
1.326	14.0	1 0 40
1.165	11.1	0 2 10
1.111	9.2	2 0 20

```
data_Cu7Ag3
_chemical_formula_sum 'Cu21 Ag9'
_cell_length_a 2.7353
_cell_length_b 2.7353
_cell_length_c 63.9815
_cell_angle_alpha 90.00
_cell_angle_beta 90.00
_cell_angle_gamma 120.00
_symmetry_space_group_name_H-M 'R 3 m'
_symmetry_Int_Tables_number 160
_symmetry_space_group_name_Hall 'R 3 -2"'
loop_
_atom_site_label
_atom_site_type_symbol
_atom_site_fract_x
_atom_site_fract_y
_atom_site_fract_z
Cu1 Cu 0.0000 0.0000 0.0000
Cu2 Cu 0.0000 0.0000 0.0928
Cu3 Cu 0.0000 0.0000 0.1937
Cu4 Cu 0.0000 0.0000 0.3952
Cu5 Cu 0.0000 0.0000 0.4966
Cu6 Cu 0.0000 0.0000 0.5967
Cu7 Cu 0.0000 0.0000 0.6975
Ag1 Ag 0.0000 0.0000 0.2982
Ag2 Ag 0.0000 0.0000 0.7948
Ag3 Ag 0.0000 0.0000 0.8953
```

# 3
Simulated XRD peak list
Compound: LiScAgAu
Radiation: λ = 1.5418 Å (Cu Kα)
Structure: the GGA-PBE geometry in OQMD
Lines closer than 0.1° are merged.

Most intense lines, 2θ from 10° to 90°, in order of falling intensity:
d (Å)	I (rel.)	hkl
2.325	100.0	1 1 2
3.321	68.0	1 1 0
3.256	32.8	0 0 2
1.904	28.8	2 0 2
2.345	26.0	2 0 0
2.351	24.9	0 2 0
3.809	24.4	1 0 1
1.350	17.2	3 1 2

```
data_LiScAgAu
_chemical_formula_sum 'Li2 Sc2 Ag2 Au2'
_cell_length_a 4.689
_cell_length_b 4.703
_cell_length_c 6.511
_cell_angle_alpha 90.00
_cell_angle_beta 90.00
_cell_angle_gamma 90.00
_symmetry_space_group_name_H-M 'P m n 21'
_symmetry_Int_Tables_number 31
_symmetry_space_group_name_Hall 'P 2ac -2'
loop_
_atom_site_label
_atom_site_type_symbol
_atom_site_fract_x
_atom_site_fract_y
_atom_site_fract_z
Li1 Li 0.000 0.241 0.000
Sc1 Sc 0.000 0.231 0.500
Ag1 Ag 0.000 0.730 0.750
Au1 Au 0.000 0.734 0.250
```

# 4
Simulated XRD peak list
Compound: HoSiHO4
Radiation: λ = 1.5418 Å (Cu Kα)
Structure: the GGA-PBE geometry in OQMD
Lines closer than 0.1° are merged.

Most intense lines, 2θ from 10° to 90°, in order of falling intensity:
d (Å)	I (rel.)	hkl
7.639	100.0	1 1 0
4.189	83.7	2 1 1
3.041	83.2	3 -2 2
2.822	66.1	5 -2 1
2.380	42.6	2 3 2
1.913	40.0	4 1 3
1.951	26.6	1 6 1
5.008	24.5	0 2 1

```
data_HoSiHO4
_chemical_formula_sum 'Ho18 Si18 H18 O72'
_cell_length_a 15.2789
_cell_length_b 15.2789
_cell_length_c 7.6654
_cell_angle_alpha 90.00
_cell_angle_beta 90.00
_cell_angle_gamma 120.00
_symmetry_space_group_name_H-M 'R -3'
_symmetry_Int_Tables_number 148
_symmetry_space_group_name_Hall '-R 3'
loop_
_atom_site_label
_atom_site_type_symbol
_atom_site_fract_x
_atom_site_fract_y
_atom_site_fract_z
Ho1 Ho 0.0186 0.7729 0.3393
Si1 Si 0.0698 0.4912 0.7279
H1 H 0.0193 0.8772 0.8056
O1 O 0.0139 0.3704 0.7632
O2 O 0.0150 0.4827 0.1883
O3 O 0.0545 0.1727 0.2166
O4 O 0.0788 0.2189 0.8685
```